# 1
This entry pairs a crystal structure of Na2Hf2PaSe6 with its simulated powder diffraction line list. Radiation: Cu Kα, 1.54184 Å. Structure: a structure optimized by DFT (GGA-PBE).

Principal peaks in the range 5° ≤ 2θ ≤ 70°, most intense first:
Position (°2θ)  d/Å  I_rel  h k l
12.14  7.289  100  0 0 1
31.28  2.859  73  1 3 1
42.71  2.117  43  1 3 -3
31.46  2.844  36  2 0 -2
47.11  1.929  23  3 3 -1
26.91  3.313  22  1 3 0

Structural model:
```
data_Na2Hf2PaSe6
_space_group_name_H-M_alt 'C 1 2/m 1'
_space_group_IT_number 12
_cell_length_a 6.672
_cell_length_b 11.627
_cell_length_c 7.614
_cell_angle_alpha 90.00
_cell_angle_beta 106.81
_cell_angle_gamma 90.00
loop_
_space_group_symop_operation_xyz
'x,y,z'
'-x,-y,-z'
'-x,y,-z'
'x,-y,z'
'x+1/2,y+1/2,z'
'-x+1/2,-y+1/2,-z'
'-x+1/2,y+1/2,-z'
'x+1/2,-y+1/2,z'
loop_
_atom_site_label
_atom_site_type_symbol
_atom_site_fract_x
_atom_site_fract_y
_atom_site_fract_z
_atom_site_occupancy
Na1 Na 0.000 0.162 0.000 1
Hf1 Hf 0.000 0.333 0.500 1
Pa1 Pa 0.000 0.000 0.500 1
Se1 Se 0.223 0.500 0.724 1
Se2 Se 0.248 0.173 0.725 1
```


# 2
This entry pairs a crystal structure of Na4Hf3PtS8 with its simulated powder diffraction line list. Radiation: Cu Kα, 1.54184 Å. Structure: a structure optimized by DFT (GGA-PBE).

Principal peaks in the range 5° ≤ 2θ ≤ 70°, most intense first:
Position (°2θ)  d/Å  I_rel  h k l
13.10  6.758  100  0 0 1
33.68  2.661  52  2 2 -2
28.62  3.119  35  2 2 -1
31.60  2.831  30  4 0 0
45.44  1.996  21  2 2 2
29.42  3.036  20  2 2 0

Structural model:
```
data_Na4Hf3PtS8
_space_group_name_H-M_alt 'C 1 2/m 1'
_space_group_IT_number 12
_cell_length_a 13.308
_cell_length_b 7.193
_cell_length_c 7.941
_cell_angle_alpha 90.00
_cell_angle_beta 121.68
_cell_angle_gamma 90.00
loop_
_space_group_symop_operation_xyz
'x,y,z'
'-x,-y,-z'
'-x,y,-z'
'x,-y,z'
'x+1/2,y+1/2,z'
'-x+1/2,-y+1/2,-z'
'-x+1/2,y+1/2,-z'
'x+1/2,-y+1/2,z'
loop_
_atom_site_label
_atom_site_type_symbol
_atom_site_fract_x
_atom_site_fract_y
_atom_site_fract_z
_atom_site_occupancy
Na1 Na 0.000 0.000 0.000 1
Na2 Na 0.000 0.500 0.000 1
Na3 Na 0.250 0.250 0.000 1
Hf1 Hf 0.000 0.000 0.500 1
Hf2 Hf 0.250 0.250 0.500 1
Pt1 Pt 0.000 0.500 0.500 1
S1 S 0.017 0.266 0.299 1
S2 S 0.229 0.000 0.257 1
S3 S 0.232 0.000 0.717 1
```


# 3
This entry pairs a crystal structure of Na3Pu2HfS6 with its simulated powder diffraction line list. Radiation: Cu Kα, 1.54184 Å. Structure: a structure optimized by DFT (GGA-PBE).

Principal peaks in the range 5° ≤ 2θ ≤ 70°, most intense first:
Position (°2θ)  d/Å  I_rel  h k l
13.30  6.658  100  0 0 1
31.78  2.816  89  1 3 1
26.52  3.361  53  1 3 0
27.64  3.227  41  2 0 0
45.00  2.015  33  2 0 2
46.11  1.969  31  0 6 0

Structural model:
```
data_Na3Pu2HfS6
_space_group_name_H-M_alt 'C 1 2/m 1'
_space_group_IT_number 12
_cell_length_a 6.818
_cell_length_b 11.816
_cell_length_c 7.040
_cell_angle_alpha 90.00
_cell_angle_beta 108.95
_cell_angle_gamma 90.00
loop_
_space_group_symop_operation_xyz
'x,y,z'
'-x,-y,-z'
'-x,y,-z'
'x,-y,z'
'x+1/2,y+1/2,z'
'-x+1/2,-y+1/2,-z'
'-x+1/2,y+1/2,-z'
'x+1/2,-y+1/2,z'
loop_
_atom_site_label
_atom_site_type_symbol
_atom_site_fract_x
_atom_site_fract_y
_atom_site_fract_z
_atom_site_occupancy
Na1 Na 0.000 0.000 0.000 1
Na2 Na 0.000 0.332 0.000 1
Pu1 Pu 0.000 0.167 0.500 1
Hf1 Hf 0.000 0.500 0.500 1
S1 S 0.231 0.344 0.725 1
S2 S 0.238 0.500 0.278 1
```


What is the formula in the second record?
Na4Hf3PtS8


Which formula does entry 3 have?
Na3Pu2HfS6